Diffraction record for PmSmSeO2. The powder XRD pattern is computed, not measured: it uses DFT lattice parameters and positions (GGA-PBE) and Cu Ka.

Atomic structure:
```
data_PmSmSeO2
_cell_length_a 3.9335
_cell_length_b 3.9335
_cell_length_c 12.4987
_cell_angle_alpha 90.00
_cell_angle_beta 90.00
_cell_angle_gamma 90.00
_symmetry_space_group_name_H-M 'I 4 m m'
_symmetry_Int_Tables_number 107
_symmetry_space_group_name_Hall 'I 4 -2'
loop_
_atom_site_label
_atom_site_fract_x
_atom_site_fract_y
_atom_site_fract_z
_atom_site_occupancy
Pm1 0.0000 0.0000 0.0000 1
Sm1 0.0000 0.0000 0.6904 1
Se1 0.0000 0.0000 0.3453 1
O1 0.0000 0.5000 0.0962 1
```

Largest 8 diffraction maxima, sorted by position, 10° ≤ 2θ ≤ 80°:
| 2θ/deg | Rel. int. |
| --- | --- |
| 23.71 | 11 |
| 31.27 | 100 |
| 32.18 | 40 |
| 46.15 | 21 |
| 55.08 | 21 |
| 56.81 | 37 |
| 65.24 | 9 |
| 76.11 | 8 |